Theoretical powder XRD pattern
Compound: LaGaSe2O
Radiation: Cu Kα (weighted mean of Kα1 and Kα2)
Structure: a GGA-PBE-relaxed structure

The 10 most intense peaks (2θ = 5–70°), most intense first:
| (hkl) | 2θ (°) | I (rel.) |
| --- | --- | --- |
| 1 3 1 | 30.12 | 100 |
| 2 0 0 | 29.72 | 48 |
| 0 0 2 | 29.82 | 47 |
| 2 0 2 | 42.61 | 38 |
| 1 3 3 | 53.13 | 33 |
| 2 6 0 | 53.71 | 28 |
| 3 3 1 | 53.00 | 26 |
| 1 2 1 | 25.40 | 20 |
| 1 4 1 | 35.78 | 16 |
| 0 4 2 | 41.82 | 14 |

Crystal structure
Unit cell a=6.011 b=12.448 c=5.991 alpha=90.00 beta=90.00 gamma=90.00
Space group Pca2_1 (No. 29)
Unique sites:
La1 0.003 0.094 0.000 x4
Ga1 0.077 0.398 0.402 x4
Se1 0.006 0.781 0.997 x4
Se2 0.024 0.414 0.994 x4
O1 0.250 0.999 0.246 x4